The following is a theoretical PXRD pattern of Tm6CdGa2. It was derived from a structure optimized by DFT (GGA-PBE), using copper Kα.
Lines closer than 0.1° are merged.

Structural model:
```
data_Tm6CdGa2
_symmetry_space_group_name_H-M 'I m m m'
_symmetry_Int_Tables_number 71
_symmetry_space_group_name_Hall '-I 2 2'
_cell_length_a 9.486
_cell_length_b 9.540
_cell_length_c 10.411
_cell_angle_alpha 90.00
_cell_angle_beta 90.00
_cell_angle_gamma 90.00
loop_
_atom_site_label
_atom_site_fract_x
_atom_site_fract_y
_atom_site_fract_z
Tm1 0.000 0.204 0.179
Tm2 0.184 0.223 0.500
Tm3 0.200 0.500 0.256
Cd1 0.000 0.500 0.000
Cd2 0.000 0.500 0.500
Ga1 0.000 0.000 0.378
Ga2 0.149 0.000 0.000
```

Main lines, in order of rising 2θ (10 to 90 degrees two-theta):
- (1 0 3), 27.4°, rel. 17
- (1 3 0), 29.6°, rel. 19
- (2 2 2), 31.7°, rel. 100
- (1 2 3), 33.3°, rel. 39
- (0 0 4), 34.4°, rel. 20
- (3 1 2), 34.5°, rel. 45
- (3 2 1), 35.1°, rel. 51
- (0 4 0), 37.7°, rel. 27
- (0 3 3), 38.4°, rel. 13
- (2 0 4), 39.5°, rel. 16
- (5 3 0), 56.5°, rel. 22
- (3 5 2), 59.3°, rel. 24

---

The following is a theoretical PXRD pattern of Re5Rh3. It was derived from a structure optimized by DFT (GGA-PBE), using copper Kα.
Lines closer than 0.1° are merged.

Structural model:
```
data_Re5Rh3
_symmetry_space_group_name_H-M 'A m m 2'
_symmetry_Int_Tables_number 38
_cell_length_a 2.749
_cell_length_b 5.485
_cell_length_c 15.604
_cell_angle_alpha 90.00
_cell_angle_beta 90.00
_cell_angle_gamma 90.00
loop_
_symmetry_equiv_pos_as_xyz
'x,y,z'
'-x,-y,z'
'-x,y,z'
'x,-y,z'
'x,y+1/2,z+1/2'
'-x,-y+1/2,z+1/2'
'-x,y+1/2,z+1/2'
'x,-y+1/2,z+1/2'
loop_
_atom_site_label
_atom_site_fract_x
_atom_site_fract_y
_atom_site_fract_z
Re1 0.000 0.000 0.000
Re2 0.000 0.000 0.248
Re3 0.000 0.000 0.751
Re4 0.500 0.249 0.880
Rh1 0.000 0.000 0.499
Rh2 0.500 0.249 0.129
```

Main lines, in order of rising 2θ (10 to 90 degrees two-theta):
- (0 0 2), 11.3°, rel. 9
- (1 0 2), 34.6°, rel. 3
- (1 0 4), 40.2°, rel. 100
- (0 0 8), 46.6°, rel. 16
- (1 2 0), 46.8°, rel. 33
- (2 0 0), 68.2°, rel. 26
- (0 4 0), 68.4°, rel. 5
- (1 0 12), 82.0°, rel. 12
- (2 2 4), 82.3°, rel. 13
- (1 4 4), 82.4°, rel. 13
- (2 0 8), 86.6°, rel. 6
- (0 4 8), 86.8°, rel. 6

---

The following is a theoretical PXRD pattern of ScTcPtI. It was derived from a structure optimized by DFT (GGA-PBE), using copper Kα.
Lines closer than 0.1° are merged.

Structural model:
```
data_ScTcPtI
_symmetry_space_group_name_H-M 'C 1 m 1'
_symmetry_Int_Tables_number 8
_cell_length_a 7.130
_cell_length_b 4.110
_cell_length_c 7.390
_cell_angle_alpha 90.00
_cell_angle_beta 109.09
_cell_angle_gamma 90.00
loop_
_symmetry_equiv_pos_as_xyz
'x,y,z'
'x,-y,z'
'x+1/2,y+1/2,z'
'x+1/2,-y+1/2,z'
loop_
_atom_site_label
_atom_site_fract_x
_atom_site_fract_y
_atom_site_fract_z
Sc1 0.000 0.000 0.000
Tc1 0.435 0.000 0.301
Pt1 0.237 0.500 0.208
I1 0.066 0.500 0.700
```

Main lines, in order of rising 2θ (10 to 90 degrees two-theta):
- (0 0 1), 12.7°, rel. 60
- (1 1 0), 25.4°, rel. 100
- (0 0 2), 25.5°, rel. 47
- (2 0 -2), 30.2°, rel. 12
- (1 1 1), 30.4°, rel. 25
- (1 1 -2), 33.0°, rel. 21
- (2 0 -3), 39.2°, rel. 24
- (1 1 2), 39.4°, rel. 47
- (0 2 0), 44.0°, rel. 67
- (3 1 -3), 51.5°, rel. 29
- (0 2 2), 51.6°, rel. 28
- (2 2 -3), 60.4°, rel. 13

---

The following is a theoretical PXRD pattern of Ba2Li6Mg. It was derived from a structure optimized by DFT (GGA-PBE), using copper Kα.
Lines closer than 0.1° are merged.

Structural model:
```
data_Ba2Li6Mg
_symmetry_space_group_name_H-M 'C 1 2/m 1'
_symmetry_Int_Tables_number 12
_cell_length_a 11.318
_cell_length_b 6.852
_cell_length_c 7.160
_cell_angle_alpha 90.00
_cell_angle_beta 99.99
_cell_angle_gamma 90.00
loop_
_symmetry_equiv_pos_as_xyz
'x,y,z'
'-x,-y,-z'
'-x,y,-z'
'x,-y,z'
'x+1/2,y+1/2,z'
'-x+1/2,-y+1/2,-z'
'-x+1/2,y+1/2,-z'
'x+1/2,-y+1/2,z'
loop_
_atom_site_label
_atom_site_fract_x
_atom_site_fract_y
_atom_site_fract_z
Ba1 0.157 0.000 0.367
Li1 0.116 0.500 0.159
Li2 0.125 0.228 0.859
Mg1 0.000 0.500 0.500
```

Main lines, in order of rising 2θ (10 to 90 degrees two-theta):
- (0 0 1), 12.6°, rel. 91
- (1 1 0), 15.2°, rel. 45
- (2 0 -1), 18.5°, rel. 53
- (1 1 1), 20.6°, rel. 94
- (0 2 0), 26.0°, rel. 40
- (3 1 0), 27.3°, rel. 71
- (1 1 -2), 28.3°, rel. 100
- (0 2 1), 29.0°, rel. 34
- (2 2 -1), 32.1°, rel. 46
- (2 0 2), 32.3°, rel. 24
- (1 1 -3), 40.0°, rel. 24
- (1 3 -2), 47.3°, rel. 24

---

The following is a theoretical PXRD pattern of Na6HgPd2. It was derived from a structure optimized by DFT (GGA-PBE), using copper Kα.
Lines closer than 0.1° are merged.

Structural model:
```
data_Na6HgPd2
_symmetry_space_group_name_H-M 'R -3 m'
_symmetry_Int_Tables_number 166
_symmetry_space_group_name_Hall '-R 3 2"'
_cell_length_a 5.0698
_cell_length_b 5.0698
_cell_length_c 30.7707
_cell_angle_alpha 90.00
_cell_angle_beta 90.00
_cell_angle_gamma 120.00
loop_
_atom_site_label
_atom_site_fract_x
_atom_site_fract_y
_atom_site_fract_z
Na1 0.0000 0.0000 0.0746
Na2 0.0000 0.0000 0.2064
Na3 0.0000 0.0000 0.3113
Hg1 0.0000 0.0000 0.5000
Pd1 0.0000 0.0000 0.4109
```

Main lines, in order of rising 2θ (10 to 90 degrees two-theta):
- (1 0 1), 20.4°, rel. 100
- (0 1 2), 21.0°, rel. 47
- (1 1 0), 35.4°, rel. 67
- (1 0 10), 35.6°, rel. 42
- (0 1 11), 38.1°, rel. 34
- (0 2 1), 41.2°, rel. 17
- (1 1 12), 50.6°, rel. 22
- (0 2 10), 51.1°, rel. 15
- (2 1 1), 55.5°, rel. 14
- (3 0 0), 63.6°, rel. 14
- (2 1 10), 63.7°, rel. 15
- (2 2 0), 74.9°, rel. 17